This entry pairs a crystal structure of Ag3Au4 with its theoretical powder XRD pattern. Radiation: Cu Kα X-rays. Structure: a DFT-relaxed cell (GGA-PBE, Alexandria).
Peak positions follow from Bragg's law for the DFT cell and can differ from measured ones.

Main lines, low angle first (2θ from 5° to 70°):
2θ (°)  intensity
21.62  5
26.10  2
30.93  2
37.49  100
43.11  17
43.79  32
46.28  2
63.13  22
63.58  5
63.74  5

Crystal structure
Cell lengths 10.5582, 10.5582, 10.5582 Å; angles 164.10, 157.07, 28.02 degrees
Atoms (fractional coordinates):
Ag  0.0000  0.0000  0.0000
Ag  0.1428  0.1428  0.0000
Ag  0.8572  0.8572  0.0000
Au  0.2861  0.2861  0.0000
Au  0.4288  0.4288  0.0000
Au  0.5712  0.5712  0.0000
Au  0.7139  0.7139  0.0000